Structure and simulated powder diffractogram of Sm2YPb7 (a PBE-relaxed structure; Cu Kα).
Neutral-atom scattering factors, no anomalous dispersion.

Main lines, sorted by position (2θ = 10–90°):
| d [Å] | 2θ (°) | I (rel.) | h k l |
| --- | --- | --- | --- |
| 2.798 | 31.99 | 100 | 1 5 1 |
| 2.723 | 32.89 | 20 | 0 10 0 |
| 2.322 | 38.79 | 16 | 0 0 2 |
| 2.290 | 39.35 | 15 | 2 0 0 |
| 1.767 | 51.74 | 12 | 0 10 2 |
| 1.586 | 58.15 | 15 | 1 15 1 |
| 1.416 | 65.98 | 13 | 1 5 3 |
| 1.401 | 66.75 | 12 | 3 5 1 |

Cell and atoms:
```
data_Sm2YPb7
_chemical_formula_sum 'Sm4 Y2 Pb14'
_space_group_name_H-M_alt 'C m m m'
_space_group_IT_number 65
_space_group_name_Hall '-C 2 2'
_cell_length_a 4.580
_cell_length_b 27.230
_cell_length_c 4.643
_cell_angle_alpha 90.00
_cell_angle_beta 90.00
_cell_angle_gamma 90.00
loop_
_atom_site_label
_atom_site_type_symbol
_atom_site_fract_x
_atom_site_fract_y
_atom_site_fract_z
Sm1 Sm 0.000 0.190 0.000
Y1 Y 0.000 0.500 0.500
Pb1 Pb 0.000 0.000 0.000
Pb2 Pb 0.000 0.096 0.500
Pb3 Pb 0.000 0.291 0.500
Pb4 Pb 0.000 0.404 0.000
```